Entry 1:
This entry pairs a crystal structure of Pr3Co8Sn4 with its computed powder XRD pattern. Radiation: Cu Kα, 1.54184 Å. Structure: DFT lattice parameters and positions (PBE).
No peak broadening, texture or thermal motion is included.

Structural model:
```
data_Pr3Co8Sn4
_chemical_formula_sum 'Pr6 Co16 Sn8'
_symmetry_space_group_name_H-M 'P 1'
_symmetry_Int_Tables_number 1
_cell_length_a 9.064
_cell_length_b 9.064
_cell_length_c 7.607
_cell_angle_alpha 90.00
_cell_angle_beta 90.00
_cell_angle_gamma 120.00
loop_
_symmetry_equiv_pos_as_xyz
'x,y,z'
loop_
_atom_site_label
_atom_site_type_symbol
_atom_site_fract_x
_atom_site_fract_y
_atom_site_fract_z
Pr1 Pr 0.057 0.529 0.000
Pr2 Pr 0.471 0.529 0.000
Pr3 Pr 0.471 0.943 0.000
Pr4 Pr 0.529 0.057 0.500
Pr5 Pr 0.529 0.471 0.500
Pr6 Pr 0.943 0.471 0.500
Co1 Co 0.000 0.000 0.224
Co2 Co 0.000 0.000 0.724
Co3 Co 0.094 0.189 0.977
Co4 Co 0.094 0.906 0.977
Co5 Co 0.155 0.310 0.671
Co6 Co 0.155 0.845 0.671
Co7 Co 0.189 0.094 0.477
Co8 Co 0.310 0.155 0.171
Co9 Co 0.333 0.667 0.298
Co10 Co 0.667 0.333 0.798
Co11 Co 0.690 0.845 0.671
Co12 Co 0.811 0.906 0.977
Co13 Co 0.845 0.155 0.171
Co14 Co 0.845 0.690 0.171
Co15 Co 0.906 0.094 0.477
Co16 Co 0.906 0.811 0.477
Sn1 Sn 0.170 0.339 0.296
Sn2 Sn 0.170 0.830 0.296
Sn3 Sn 0.333 0.667 0.664
Sn4 Sn 0.339 0.170 0.796
Sn5 Sn 0.661 0.830 0.296
Sn6 Sn 0.667 0.333 0.164
Sn7 Sn 0.830 0.170 0.796
Sn8 Sn 0.830 0.661 0.796
```

Principal peaks in the range 10° ≤ 2θ ≤ 90°, sorted by position:
2θ = 25.54°, I 21
2θ = 32.39°, I 38
2θ = 32.79°, I 100
2θ = 36.31°, I 39
2θ = 37.26°, I 35
2θ = 38.48°, I 24
2θ = 39.78°, I 92
2θ = 42.44°, I 20
2θ = 60.18°, I 20
2θ = 63.34°, I 35

---

Entry 2:
This entry pairs a crystal structure of Rb2NaTl3 with its computed powder XRD pattern. Radiation: Cu Kα, 1.54184 Å. Structure: DFT lattice parameters and positions (PBE).
No peak broadening, texture or thermal motion is included.

Structural model:
```
data_Rb2NaTl3
_chemical_formula_sum 'Rb2 Na1 Tl3'
_symmetry_space_group_name_H-M 'P 1'
_symmetry_Int_Tables_number 1
_cell_length_a 6.825
_cell_length_b 6.825
_cell_length_c 6.939
_cell_angle_alpha 119.69
_cell_angle_beta 119.69
_cell_angle_gamma 60.12
loop_
_symmetry_equiv_pos_as_xyz
'x,y,z'
loop_
_atom_site_label
_atom_site_type_symbol
_atom_site_fract_x
_atom_site_fract_y
_atom_site_fract_z
Rb1 Rb 0.121 0.121 0.361
Rb2 Rb 0.879 0.879 0.639
Na1 Na 0.500 0.500 0.500
Tl1 Tl 0.000 0.500 0.000
Tl2 Tl 0.500 0.000 0.000
Tl3 Tl 0.500 0.500 0.000
```

Principal peaks in the range 10° ≤ 2θ ≤ 90°, sorted by position:
2θ = 15.57°, I 87
2θ = 18.25°, I 23
2θ = 25.74°, I 47
2θ = 30.18°, I 23
2θ = 30.49°, I 38
2θ = 30.64°, I 100
2θ = 30.75°, I 40
2θ = 31.44°, I 27
2θ = 32.03°, I 89
2θ = 48.58°, I 23

---

Entry 3:
This entry pairs a crystal structure of TbCo9B4 with its computed powder XRD pattern. Radiation: Cu Kα, 1.54184 Å. Structure: DFT lattice parameters and positions (PBE).
No peak broadening, texture or thermal motion is included.

Structural model:
```
data_TbCo9B4
_chemical_formula_sum 'Tb2 Co18 B8'
_symmetry_space_group_name_H-M 'P 1'
_symmetry_Int_Tables_number 1
_cell_length_a 7.455
_cell_length_b 7.455
_cell_length_c 7.455
_cell_angle_alpha 121.43
_cell_angle_beta 121.43
_cell_angle_gamma 87.53
loop_
_symmetry_equiv_pos_as_xyz
'x,y,z'
loop_
_atom_site_label
_atom_site_type_symbol
_atom_site_fract_x
_atom_site_fract_y
_atom_site_fract_z
Tb1 Tb 0.247 0.247 0.000
Tb2 Tb 0.753 0.753 0.000
Co1 Co 0.000 0.500 0.500
Co2 Co 0.048 0.830 0.521
Co3 Co 0.097 0.805 0.901
Co4 Co 0.170 0.692 0.218
Co5 Co 0.195 0.097 0.292
Co6 Co 0.307 0.407 0.715
Co7 Co 0.308 0.527 0.479
Co8 Co 0.407 0.693 0.100
Co9 Co 0.473 0.952 0.782
Co10 Co 0.500 0.000 0.500
Co11 Co 0.527 0.048 0.218
Co12 Co 0.593 0.307 0.900
Co13 Co 0.692 0.473 0.521
Co14 Co 0.693 0.593 0.285
Co15 Co 0.805 0.903 0.708
Co16 Co 0.830 0.308 0.782
Co17 Co 0.903 0.195 0.099
Co18 Co 0.952 0.170 0.479
B1 B 0.039 0.497 0.807
B2 B 0.232 0.039 0.542
B3 B 0.310 0.768 0.807
B4 B 0.497 0.690 0.458
B5 B 0.503 0.310 0.542
B6 B 0.690 0.232 0.193
B7 B 0.768 0.961 0.458
B8 B 0.961 0.503 0.193
```

Principal peaks in the range 10° ≤ 2θ ≤ 90°, sorted by position:
2θ = 33.28°, I 19
2θ = 37.25°, I 21
2θ = 37.69°, I 14
2θ = 38.72°, I 10
2θ = 39.06°, I 11
2θ = 41.70°, I 10
2θ = 42.65°, I 100
2θ = 50.84°, I 12
2θ = 56.42°, I 20
2θ = 67.11°, I 12

---

Entry 4:
This entry pairs a crystal structure of Ba2NpO4F with its computed powder XRD pattern. Radiation: Cu Kα, 1.54184 Å. Structure: DFT lattice parameters and positions (PBE).
No peak broadening, texture or thermal motion is included.

Structural model:
```
data_Ba2NpO4F
_chemical_formula_sum 'Ba2 Np1 O4 F1'
_symmetry_space_group_name_H-M 'P 1'
_symmetry_Int_Tables_number 1
_cell_length_a 6.100
_cell_length_b 6.100
_cell_length_c 7.499
_cell_angle_alpha 115.36
_cell_angle_beta 115.36
_cell_angle_gamma 34.47
loop_
_symmetry_equiv_pos_as_xyz
'x,y,z'
loop_
_atom_site_label
_atom_site_type_symbol
_atom_site_fract_x
_atom_site_fract_y
_atom_site_fract_z
Ba1 Ba 0.179 0.179 0.194
Ba2 Ba 0.821 0.821 0.806
Np1 Np 0.000 0.000 0.500
O1 O 0.140 0.140 0.781
O2 O 0.396 0.396 0.550
O3 O 0.604 0.604 0.450
O4 O 0.860 0.860 0.219
F1 F 0.500 0.500 0.000
```

Principal peaks in the range 10° ≤ 2θ ≤ 90°, sorted by position:
2θ = 13.21°, I 35
2θ = 24.30°, I 100
2θ = 25.95°, I 70
2θ = 26.10°, I 70
2θ = 30.76°, I 43
2θ = 31.09°, I 62
2θ = 33.93°, I 69
2θ = 37.23°, I 48
2θ = 45.11°, I 34
2θ = 50.54°, I 42

---

Entry 5:
This entry pairs a crystal structure of NaPmCd3 with its computed powder XRD pattern. Radiation: Cu Kα, 1.54184 Å. Structure: DFT lattice parameters and positions (PBE).
No peak broadening, texture or thermal motion is included.

Structural model:
```
data_NaPmCd3
_chemical_formula_sum 'Na2 Pm2 Cd6'
_symmetry_space_group_name_H-M 'P 1'
_symmetry_Int_Tables_number 1
_cell_length_a 3.498
_cell_length_b 7.962
_cell_length_c 10.384
_cell_angle_alpha 90.00
_cell_angle_beta 90.03
_cell_angle_gamma 90.00
loop_
_symmetry_equiv_pos_as_xyz
'x,y,z'
loop_
_atom_site_label
_atom_site_type_symbol
_atom_site_fract_x
_atom_site_fract_y
_atom_site_fract_z
Na1 Na 0.000 0.250 0.092
Na2 Na 0.000 0.750 0.908
Pm1 Pm 0.000 0.250 0.550
Pm2 Pm 0.000 0.750 0.450
Cd1 Cd 0.499 0.062 0.324
Cd2 Cd 0.499 0.438 0.324
Cd3 Cd 0.499 0.750 0.170
Cd4 Cd 0.501 0.250 0.830
Cd5 Cd 0.501 0.562 0.676
Cd6 Cd 0.501 0.938 0.676
```

Principal peaks in the range 10° ≤ 2θ ≤ 90°, sorted by position:
2θ = 30.82°, I 84
2θ = 32.86°, I 100
2θ = 34.12°, I 28
2θ = 34.33°, I 77
2θ = 34.89°, I 58
2θ = 35.23°, I 66
2θ = 36.40°, I 59
2θ = 43.69°, I 39
2θ = 56.08°, I 28
2θ = 62.71°, I 28

---

Entry 6:
This entry pairs a crystal structure of Er2AgSe4 with its computed powder XRD pattern. Radiation: Cu Kα, 1.54184 Å. Structure: DFT lattice parameters and positions (PBE).
No peak broadening, texture or thermal motion is included.

Structural model:
```
data_Er2AgSe4
_chemical_formula_sum 'Er4 Ag2 Se8'
_symmetry_space_group_name_H-M 'P 1'
_symmetry_Int_Tables_number 1
_cell_length_a 6.907
_cell_length_b 5.627
_cell_length_c 8.765
_cell_angle_alpha 90.00
_cell_angle_beta 98.96
_cell_angle_gamma 90.00
loop_
_symmetry_equiv_pos_as_xyz
'x,y,z'
loop_
_atom_site_label
_atom_site_type_symbol
_atom_site_fract_x
_atom_site_fract_y
_atom_site_fract_z
Er1 Er 0.153 0.250 0.353
Er2 Er 0.237 0.250 0.934
Er3 Er 0.763 0.750 0.066
Er4 Er 0.847 0.750 0.647
Ag1 Ag 0.378 0.750 0.535
Ag2 Ag 0.622 0.250 0.465
Se1 Se 0.021 0.750 0.374
Se2 Se 0.098 0.750 0.914
Se3 Se 0.451 0.505 0.212
Se4 Se 0.451 0.995 0.212
Se5 Se 0.549 0.005 0.788
Se6 Se 0.549 0.495 0.788
Se7 Se 0.902 0.250 0.086
Se8 Se 0.979 0.250 0.626
```

Principal peaks in the range 10° ≤ 2θ ≤ 90°, sorted by position:
2θ = 20.46°, I 53
2θ = 26.01°, I 88
2θ = 30.74°, I 100
2θ = 31.80°, I 63
2θ = 34.48°, I 52
2θ = 35.61°, I 98
2θ = 38.15°, I 45
2θ = 39.34°, I 84
2θ = 44.00°, I 38
2θ = 45.02°, I 63

---

Entry 7:
This entry pairs a crystal structure of V7S8 with its computed powder XRD pattern. Radiation: Cu Kα, 1.54184 Å. Structure: DFT lattice parameters and positions (PBE).
No peak broadening, texture or thermal motion is included.

Structural model:
```
data_V7S8
_chemical_formula_sum 'V21 S24'
_symmetry_space_group_name_H-M 'P 1'
_symmetry_Int_Tables_number 1
_cell_length_a 6.556
_cell_length_b 6.556
_cell_length_c 17.676
_cell_angle_alpha 90.00
_cell_angle_beta 90.00
_cell_angle_gamma 120.00
loop_
_symmetry_equiv_pos_as_xyz
'x,y,z'
loop_
_atom_site_label
_atom_site_type_symbol
_atom_site_fract_x
_atom_site_fract_y
_atom_site_fract_z
V1 V 0.000 0.019 0.167
V2 V 0.000 0.052 0.667
V3 V 0.000 0.450 0.667
V4 V 0.003 0.518 0.835
V5 V 0.018 0.540 0.330
V6 V 0.019 0.000 0.833
V7 V 0.052 0.000 0.333
V8 V 0.450 0.000 0.333
V9 V 0.460 0.478 0.664
V10 V 0.478 0.460 0.336
V11 V 0.482 0.485 0.168
V12 V 0.485 0.482 0.832
V13 V 0.515 0.997 0.501
V14 V 0.518 0.003 0.165
V15 V 0.522 0.982 0.997
V16 V 0.540 0.018 0.670
V17 V 0.550 0.550 0.000
V18 V 0.948 0.948 0.000
V19 V 0.981 0.981 0.500
V20 V 0.982 0.522 0.003
V21 V 0.997 0.515 0.499
S1 S 0.157 0.335 0.253
S2 S 0.164 0.336 0.923
S3 S 0.166 0.828 0.240
S4 S 0.172 0.338 0.573
S5 S 0.172 0.836 0.589
S6 S 0.178 0.843 0.919
S7 S 0.331 0.668 0.749
S8 S 0.332 0.663 0.083
S9 S 0.335 0.157 0.747
S10 S 0.336 0.164 0.077
S11 S 0.337 0.669 0.416
S12 S 0.338 0.172 0.427
S13 S 0.662 0.834 0.907
S14 S 0.663 0.332 0.917
S15 S 0.664 0.828 0.256
S16 S 0.665 0.822 0.586
S17 S 0.668 0.331 0.251
S18 S 0.669 0.337 0.584
S19 S 0.822 0.665 0.414
S20 S 0.828 0.166 0.760
S21 S 0.828 0.664 0.744
S22 S 0.834 0.662 0.093
S23 S 0.836 0.172 0.411
S24 S 0.843 0.178 0.081
```

Principal peaks in the range 10° ≤ 2θ ≤ 90°, sorted by position:
2θ = 16.40°, I 8
2θ = 18.57°, I 7
2θ = 31.51°, I 26
2θ = 35.09°, I 51
2θ = 44.31°, I 100
2θ = 56.12°, I 33
2θ = 57.02°, I 10
2θ = 63.12°, I 9
2θ = 74.15°, I 14
2θ = 89.44°, I 16

---

Entry 8:
This entry pairs a crystal structure of Nd4TlO with its computed powder XRD pattern. Radiation: Cu Kα, 1.54184 Å. Structure: DFT lattice parameters and positions (PBE).
No peak broadening, texture or thermal motion is included.

Structural model:
```
data_Nd4TlO
_chemical_formula_sum 'Nd8 Tl2 O2'
_symmetry_space_group_name_H-M 'P 1'
_symmetry_Int_Tables_number 1
_cell_length_a 5.845
_cell_length_b 7.355
_cell_length_c 8.562
_cell_angle_alpha 74.05
_cell_angle_beta 70.06
_cell_angle_gamma 89.98
loop_
_symmetry_equiv_pos_as_xyz
'x,y,z'
loop_
_atom_site_label
_atom_site_type_symbol
_atom_site_fract_x
_atom_site_fract_y
_atom_site_fract_z
Nd1 Nd 0.095 0.423 0.286
Nd2 Nd 0.118 0.922 0.287
Nd3 Nd 0.294 0.798 0.886
Nd4 Nd 0.319 0.297 0.887
Nd5 Nd 0.681 0.703 0.113
Nd6 Nd 0.706 0.202 0.114
Nd7 Nd 0.882 0.078 0.713
Nd8 Nd 0.905 0.577 0.714
Tl1 Tl 0.484 0.251 0.500
Tl2 Tl 0.516 0.749 0.500
O1 O 0.000 0.500 0.000
O2 O 0.500 0.000 0.000
```

Principal peaks in the range 10° ≤ 2θ ≤ 90°, sorted by position:
2θ = 28.96°, I 50
2θ = 30.59°, I 61
2θ = 31.65°, I 100
2θ = 32.87°, I 53
2θ = 32.88°, I 52
2θ = 42.62°, I 38
2θ = 49.72°, I 20
2θ = 55.04°, I 20
2θ = 55.84°, I 22
2θ = 59.51°, I 21

---

Entry 9:
This entry pairs a crystal structure of YZrTl2Se4 with its computed powder XRD pattern. Radiation: Cu Kα, 1.54184 Å. Structure: DFT lattice parameters and positions (PBE).
No peak broadening, texture or thermal motion is included.

Structural model:
```
data_YZrTl2Se4
_chemical_formula_sum 'Y1 Zr1 Tl2 Se4'
_symmetry_space_group_name_H-M 'P 1'
_symmetry_Int_Tables_number 1
_cell_length_a 6.966
_cell_length_b 3.968
_cell_length_c 8.337
_cell_angle_alpha 90.00
_cell_angle_beta 105.17
_cell_angle_gamma 90.00
loop_
_symmetry_equiv_pos_as_xyz
'x,y,z'
loop_
_atom_site_label
_atom_site_type_symbol
_atom_site_fract_x
_atom_site_fract_y
_atom_site_fract_z
Y1 Y 0.000 0.000 0.000
Zr1 Zr 0.500 0.500 0.000
Tl1 Tl 0.000 0.500 0.500
Tl2 Tl 0.500 0.000 0.500
Se1 Se 0.245 0.500 0.204
Se2 Se 0.281 0.000 0.801
Se3 Se 0.719 0.000 0.199
Se4 Se 0.755 0.500 0.796
```

Principal peaks in the range 10° ≤ 2θ ≤ 90°, sorted by position:
2θ = 22.09°, I 14
2θ = 26.96°, I 12
2θ = 29.73°, I 100
2θ = 29.84°, I 50
2θ = 32.03°, I 14
2θ = 39.16°, I 20
2θ = 39.87°, I 38
2θ = 45.25°, I 33
2θ = 45.72°, I 23
2θ = 55.57°, I 17

---

Entry 10:
This entry pairs a crystal structure of CaBi with its computed powder XRD pattern. Radiation: Cu Kα, 1.54184 Å. Structure: DFT lattice parameters and positions (PBE).
No peak broadening, texture or thermal motion is included.

Structural model:
```
data_CaBi
_chemical_formula_sum 'Ca1 Bi1'
_symmetry_space_group_name_H-M 'P 1'
_symmetry_Int_Tables_number 1
_cell_length_a 3.590
_cell_length_b 4.004
_cell_length_c 4.352
_cell_angle_alpha 90.00
_cell_angle_beta 90.00
_cell_angle_gamma 90.00
loop_
_symmetry_equiv_pos_as_xyz
'x,y,z'
loop_
_atom_site_label
_atom_site_type_symbol
_atom_site_fract_x
_atom_site_fract_y
_atom_site_fract_z
Ca1 Ca 0.000 0.000 0.000
Bi1 Bi 0.500 0.500 0.500
```

Principal peaks in the range 10° ≤ 2θ ≤ 90°, sorted by position:
2θ = 20.41°, I 54
2θ = 22.20°, I 45
2θ = 24.80°, I 35
2θ = 30.33°, I 100
2θ = 32.33°, I 85
2θ = 33.53°, I 77
2θ = 39.57°, I 44
2θ = 54.37°, I 39
2θ = 56.74°, I 34
2θ = 60.38°, I 29

---

Entry 11:
This entry pairs a crystal structure of Y5ErSc2 with its computed powder XRD pattern. Radiation: Cu Kα, 1.54184 Å. Structure: DFT lattice parameters and positions (PBE).
No peak broadening, texture or thermal motion is included.

Structural model:
```
data_Y5ErSc2
_chemical_formula_sum 'Y5 Er1 Sc2'
_symmetry_space_group_name_H-M 'P 1'
_symmetry_Int_Tables_number 1
_cell_length_a 6.966
_cell_length_b 6.966
_cell_length_c 6.966
_cell_angle_alpha 119.88
_cell_angle_beta 119.55
_cell_angle_gamma 90.50
loop_
_symmetry_equiv_pos_as_xyz
'x,y,z'
loop_
_atom_site_label
_atom_site_type_symbol
_atom_site_fract_x
_atom_site_fract_y
_atom_site_fract_z
Y1 Y 0.000 0.000 0.000
Y2 Y 0.000 0.000 0.500
Y3 Y 0.000 0.500 0.000
Y4 Y 0.500 0.000 0.000
Y5 Y 0.500 0.500 0.500
Er1 Er 0.500 0.000 0.500
Sc1 Sc 0.000 0.500 0.500
Sc2 Sc 0.500 0.500 0.000
```

Principal peaks in the range 10° ≤ 2θ ≤ 90°, sorted by position:
2θ = 15.58°, I 34
2θ = 31.36°, I 100
2θ = 31.47°, I 99
2θ = 36.32°, I 67
2θ = 36.65°, I 33
2θ = 52.55°, I 45
2θ = 62.20°, I 27
2θ = 62.39°, I 26
2θ = 62.74°, I 26
2θ = 85.91°, I 16

---

Entry 12:
This entry pairs a crystal structure of Na4Ac3CeS8 with its computed powder XRD pattern. Radiation: Cu Kα, 1.54184 Å. Structure: DFT lattice parameters and positions (PBE).
No peak broadening, texture or thermal motion is included.

Structural model:
```
data_Na4Ac3CeS8
_chemical_formula_sum 'Na4 Ac3 Ce1 S8'
_symmetry_space_group_name_H-M 'P 1'
_symmetry_Int_Tables_number 1
_cell_length_a 8.348
_cell_length_b 8.348
_cell_length_c 8.348
_cell_angle_alpha 62.30
_cell_angle_beta 62.30
_cell_angle_gamma 62.30
loop_
_symmetry_equiv_pos_as_xyz
'x,y,z'
loop_
_atom_site_label
_atom_site_type_symbol
_atom_site_fract_x
_atom_site_fract_y
_atom_site_fract_z
Na1 Na 0.000 0.000 0.000
Na2 Na 0.000 0.500 0.500
Na3 Na 0.500 0.000 0.500
Na4 Na 0.500 0.500 0.000
Ac1 Ac 0.000 0.000 0.500
Ac2 Ac 0.000 0.500 0.000
Ac3 Ac 0.500 0.000 0.000
Ce1 Ce 0.500 0.500 0.500
S1 S 0.247 0.247 0.247
S2 S 0.255 0.741 0.741
S3 S 0.259 0.259 0.745
S4 S 0.259 0.745 0.259
S5 S 0.741 0.255 0.741
S6 S 0.741 0.741 0.255
S7 S 0.745 0.259 0.259
S8 S 0.753 0.753 0.753
```

Principal peaks in the range 10° ≤ 2θ ≤ 90°, sorted by position:
2θ = 13.22°, I 83
2θ = 24.21°, I 59
2θ = 25.42°, I 42
2θ = 29.79°, I 100
2θ = 32.72°, I 26
2θ = 39.59°, I 19
2θ = 41.84°, I 39
2θ = 43.41°, I 35
2θ = 44.07°, I 27
2θ = 52.21°, I 20